Simulated powder diffraction line list
Compound: Ac2VBrO6
Radiation: λ = 1.5418 Å (Cu Kα)
Structure: a DFT-relaxed cell (PBE+U, Alexandria)
Kinematic intensities with the Lorentz-polarization factor, no thermal factor.

Lattice parameters (Å, degrees): 5.850 5.850 5.416 90.00 90.00 90.00
Space group P4mm (No. 99)
Symmetry-distinct sites (fractional):
Ac1 0.000 0.500 0.000
V1 0.000 0.000 0.659
Br1 0.500 0.500 0.410
O1 0.000 0.000 0.340
O2 0.213 0.213 0.777
O3 0.500 0.500 0.067

Largest 6 diffraction maxima, by angle, 10° ≤ 2θ ≤ 90°:
d/Å, two_theta, Rel. int., (hkl)
5.416, 16.37, 380, 0 0 1
3.287, 27.12, 1000, 1 1 1
2.925, 30.56, 392, 2 0 0
2.266, 39.79, 238, 1 1 2
1.987, 45.65, 231, 2 0 2
1.751, 52.25, 340, 3 1 1